Theoretical powder diffraction line list
Compound: BaReN3
Radiation: CuKα
Structure: a cell relaxed with PBE
Intensities are scaled so that the largest is 100.

Peak list (12 most intense, 2θ = 5–70°, by intensity)
| d (Å) | 2θ/deg | I_rel |
| --- | --- | --- |
| 3.599 | 24.74 | 100 |
| 3.090 | 28.89 | 64 |
| 3.037 | 29.41 | 47 |
| 2.584 | 34.71 | 28 |
| 1.937 | 46.90 | 26 |
| 3.486 | 25.55 | 24 |
| 3.957 | 22.47 | 20 |
| 3.202 | 27.87 | 15 |
| 2.746 | 32.61 | 15 |
| 1.928 | 47.14 | 15 |
| 5.708 | 15.52 | 14 |
| 1.549 | 59.68 | 14 |

Cell and atoms:
```
BaReN3
1.0
5.642 -5.708 0.000
5.642 5.708 0.000
-1.433 0.000 6.074
Ba Re N
4 4 12
direct
0.100 0.900 0.750
0.327 0.673 0.250
0.673 0.327 0.750
0.900 0.100 0.250
0.205 0.369 0.741
0.369 0.205 0.241
0.631 0.795 0.759
0.795 0.631 0.259
0.020 0.236 0.678
0.148 0.578 0.819
0.236 0.020 0.178
0.320 0.355 0.491
0.355 0.320 0.991
0.422 0.852 0.681
0.578 0.148 0.319
0.645 0.680 0.009
0.680 0.645 0.509
0.764 0.980 0.822
0.852 0.422 0.181
0.980 0.764 0.322
```